1.
This entry pairs a crystal structure of NaCaS2O6 with its calculated X-ray diffraction stick pattern. Radiation: Cu Kα, 1.54184 Å. Structure: DFT lattice parameters and positions (GGA-PBE).
Intensities are scaled so that the largest is 100.

Peak list (10 most intense, 2θ = 10–90°, low angle first)
two_theta, d (Å), I_rel
28.0, 3.183, 100
32.0, 2.798, 11
33.7, 2.660, 23
37.1, 2.423, 23
44.4, 2.041, 10
45.7, 1.986, 14
46.1, 1.971, 9
56.9, 1.619, 10
58.6, 1.576, 12
60.3, 1.536, 14

Atomic structure:
Unit cell a=6.624 b=6.624 c=6.624 alpha=47.36 beta=47.36 gamma=47.36
Sites, in units of the cell vectors:
Na (0.000, 0.000, 0.000)
Ca (0.500, 0.500, 0.500)
S (0.274, 0.274, 0.274)
S (0.726, 0.726, 0.726)
O (0.023, 0.485, 0.758)
O (0.242, 0.977, 0.515)
O (0.485, 0.758, 0.023)
O (0.515, 0.242, 0.977)
O (0.758, 0.023, 0.485)
O (0.977, 0.515, 0.242)


2.
This entry pairs a crystal structure of NaCa2ScZn2Si6O18 with its calculated X-ray diffraction stick pattern. Radiation: Cu Kα, 1.54184 Å. Structure: DFT lattice parameters and positions (GGA-PBE).
Intensities are scaled so that the largest is 100.

Peak list (10 most intense, 2θ = 10–90°, low angle first)
two_theta, d (Å), I_rel
13.4, 6.588, 29
29.2, 3.058, 100
29.7, 3.007, 40
34.3, 2.616, 30
35.0, 2.567, 41
35.1, 2.554, 42
41.4, 2.179, 23
51.1, 1.787, 16
55.5, 1.657, 18
64.4, 1.446, 17

Atomic structure:
Unit cell a=14.524 b=14.524 c=5.353 alpha=95.59 beta=95.59 gamma=139.86
Sites, in units of the cell vectors:
Na (0.232, 0.768, 0.750)
Na (0.768, 0.232, 0.250)
Ca (0.099, 0.901, 0.250)
Ca (0.433, 0.567, 0.250)
Ca (0.567, 0.433, 0.750)
Ca (0.901, 0.099, 0.750)
Sc (0.299, 0.701, 0.250)
Sc (0.701, 0.299, 0.750)
Zn (0.032, 0.968, 0.750)
Zn (0.366, 0.634, 0.750)
Zn (0.634, 0.366, 0.250)
Zn (0.968, 0.032, 0.250)
Si (0.016, 0.408, 0.761)
Si (0.075, 0.347, 0.261)
Si (0.256, 0.317, 0.732)
Si (0.317, 0.256, 0.232)
Si (0.347, 0.075, 0.761)
Si (0.408, 0.016, 0.261)
Si (0.592, 0.984, 0.739)
Si (0.653, 0.925, 0.239)
Si (0.683, 0.744, 0.768)
Si (0.744, 0.683, 0.268)
Si (0.925, 0.653, 0.739)
Si (0.984, 0.592, 0.239)
O (0.009, 0.687, 0.506)
O (0.020, 0.681, 0.013)
O (0.057, 0.224, 0.179)
O (0.087, 0.147, 0.645)
O (0.110, 0.612, 0.312)
O (0.147, 0.087, 0.145)
O (0.188, 0.577, 0.857)
O (0.224, 0.057, 0.679)
O (0.244, 0.521, 0.349)
O (0.281, 0.445, 0.823)
O (0.313, 0.991, 0.994)
O (0.319, 0.980, 0.487)
O (0.344, 0.354, 0.502)
O (0.354, 0.344, 0.002)
O (0.388, 0.890, 0.188)
O (0.423, 0.812, 0.643)
O (0.445, 0.281, 0.323)
O (0.479, 0.756, 0.151)
O (0.521, 0.244, 0.849)
O (0.555, 0.719, 0.677)
O (0.577, 0.188, 0.357)
O (0.612, 0.110, 0.812)
O (0.646, 0.656, 0.998)
O (0.656, 0.646, 0.498)
O (0.681, 0.020, 0.513)
O (0.687, 0.009, 0.006)
O (0.719, 0.555, 0.177)
O (0.756, 0.479, 0.651)
O (0.776, 0.943, 0.321)
O (0.812, 0.423, 0.143)
O (0.853, 0.913, 0.855)
O (0.890, 0.388, 0.688)
O (0.913, 0.853, 0.355)
O (0.943, 0.776, 0.821)
O (0.980, 0.319, 0.987)
O (0.991, 0.313, 0.494)


3.
This entry pairs a crystal structure of Na3CaSc3ZnSi8O24 with its calculated X-ray diffraction stick pattern. Radiation: Cu Kα, 1.54184 Å. Structure: DFT lattice parameters and positions (GGA-PBE).
Intensities are scaled so that the largest is 100.

Peak list (10 most intense, 2θ = 10–90°, low angle first)
two_theta, d (Å), I_rel
13.4, 6.597, 23
29.0, 3.076, 100
29.7, 3.004, 40
34.1, 2.629, 20
34.8, 2.578, 37
35.1, 2.554, 36
41.2, 2.189, 19
55.0, 1.669, 17
60.1, 1.540, 16
64.5, 1.444, 16

Atomic structure:
Unit cell a=5.394 b=9.129 c=9.858 alpha=90.00 beta=104.48 gamma=90.00
Sites, in units of the cell vectors:
Na (0.000, 0.000, 0.000)
Na (0.000, 0.104, 0.500)
Na (0.500, 0.610, 0.000)
Ca (0.500, 0.511, 0.500)
Sc (0.000, 0.411, 0.000)
Sc (0.500, 0.199, 0.000)
Sc (0.500, 0.908, 0.500)
Zn (0.000, 0.709, 0.500)
Si (0.200, 0.396, 0.710)
Si (0.204, 0.718, 0.211)
Si (0.296, 0.893, 0.788)
Si (0.298, 0.218, 0.290)
Si (0.702, 0.218, 0.710)
Si (0.704, 0.893, 0.212)
Si (0.796, 0.718, 0.789)
Si (0.800, 0.396, 0.290)
O (0.079, 0.799, 0.847)
O (0.088, 0.319, 0.350)
O (0.196, 0.558, 0.140)
O (0.208, 0.553, 0.638)
O (0.223, 0.226, 0.118)
O (0.224, 0.890, 0.617)
O (0.276, 0.385, 0.881)
O (0.286, 0.721, 0.383)
O (0.302, 0.059, 0.360)
O (0.304, 0.053, 0.861)
O (0.418, 0.300, 0.650)
O (0.420, 0.812, 0.151)
O (0.580, 0.812, 0.849)
O (0.582, 0.300, 0.350)
O (0.696, 0.053, 0.139)
O (0.698, 0.059, 0.640)
O (0.714, 0.721, 0.617)
O (0.724, 0.385, 0.119)
O (0.776, 0.890, 0.383)
O (0.777, 0.226, 0.882)
O (0.792, 0.553, 0.362)
O (0.804, 0.558, 0.860)
O (0.912, 0.319, 0.650)
O (0.921, 0.799, 0.153)